1.
# HgTe
Theoretical powder diffractogram, λ = 1.5418 Å (Cu Kα). Input: a GGA-PBE-relaxed structure.

Cell and atoms:
a = 4.6170 Å, b = 4.6170 Å, c = 10.2495 Å
α = 90.00°, β = 90.00°, γ = 120.00°
Element x y z (fractional)
1 Hg 0.0000 0.6481 0.1667
2 Hg 0.3519 0.3519 0.5000
3 Hg 0.6481 0.0000 0.8333
4 Te 0.0000 0.5364 0.6667
5 Te 0.4636 0.4636 0.0000
6 Te 0.5364 0.0000 0.3333

Largest 6 diffraction maxima, sorted by position, 10° ≤ 2θ ≤ 80°:
| two_theta | I/Imax |
| --- | --- |
| 23.9 | 20 |
| 28.3 | 100 |
| 39.0 | 29 |
| 41.9 | 35 |
| 48.9 | 14 |
| 68.3 | 13 |

***

2.
# HgTe
Theoretical powder diffractogram, λ = 1.5418 Å (Cu Kα). Input: a GGA-PBE-relaxed structure.

Cell and atoms:
a = 4.6806 Å, b = 4.6806 Å, c = 11.4580 Å
α = 90.00°, β = 90.00°, γ = 120.00°
Element x y z (fractional)
1 Hg 0.0209 0.3472 0.0000
2 Hg 0.3262 0.9791 0.6667
3 Hg 0.6528 0.6738 0.3333
4 Te 0.3214 0.0061 0.4168
5 Te 0.6846 0.6786 0.0834
6 Te 0.9939 0.3154 0.7501

Largest 6 diffraction maxima, sorted by position, 10° ≤ 2θ ≤ 80°:
| two_theta | I/Imax |
| --- | --- |
| 23.3 | 100 |
| 38.5 | 78 |
| 45.5 | 51 |
| 61.0 | 21 |
| 69.6 | 27 |
| 74.5 | 16 |